Fe5O7F3: calculated X-ray diffraction stick pattern (Cu Kα X-rays), based on a crystal structure in Alexandria, relaxed with PBE+U.
Neutral-atom scattering factors, no anomalous dispersion.

Main lines, by angle (5 to 70 degrees two-theta):
- 2θ 27.5, rel. 100, (1 1 0)
- 2θ 35.5, rel. 13, (1 0 -5)
- 2θ 35.7, rel. 26, (0 1 5)
- 2θ 35.9, rel. 14, (1 0 5)
- 2θ 53.8, rel. 14, (2 1 -5)
- 2θ 54.0, rel. 14, (1 2 -5)
- 2θ 54.3, rel. 30, (2 1 5)
- 2θ 56.8, rel. 16, (2 2 0)
- 2θ 61.7, rel. 8, (0 0 10)
- 2θ 69.0, rel. 16, (0 3 5)

Structural model:
```
Fe5O7F3
1.0
4.5968 0.0000 0.0000
0.0000 4.5797 0.0000
-0.1607 0.0000 15.0339
Fe O F
10 14 6
Cartesian
1.0039 0.0000 0.8566 Fe
1.0258 0.1001 12.8163 Fe
1.0981 4.5590 9.7371 Fe
1.1941 0.1333 6.6576 Fe
1.2248 0.1935 3.7507 Fe
3.2420 2.4231 8.3763 Fe
3.2112 2.4833 11.2832 Fe
3.3380 2.2691 5.2968 Fe
3.4102 2.3900 2.2176 Fe
3.4321 2.2898 14.1773 Fe
0.2242 0.9401 2.3285 O
0.1183 0.8768 14.3400 O
0.2808 0.9834 5.2091 O
1.9820 3.7961 2.3056 O
1.9396 3.8181 8.1857 O
1.9445 3.7524 11.3042 O
2.0143 3.8186 5.1885 O
2.4217 1.5288 9.8454 O
2.4915 1.4625 3.7297 O
2.4964 1.5282 6.8482 O
2.4541 1.5063 12.7283 O
4.1552 3.2733 9.8248 O
4.3177 3.1667 0.6940 O
4.2118 3.2299 12.7055 O
0.0842 1.0190 11.2529 F
0.1476 1.0147 8.2407 F
1.9230 3.7048 14.3337 F
2.5130 1.4150 0.7002 F
4.2884 3.3046 6.7932 F
4.3518 3.3088 3.7810 F
```